Simulated powder diffraction line list of SmO3 for copper Kα, from a cell relaxed with PBE.
Peak positions follow from Bragg's law for the DFT cell and can differ from measured ones.

Crystal structure
```
data_SmO3
_space_group_name_H-M_alt 'P 63/m'
_space_group_IT_number 176
_space_group_name_Hall '-P 6c'
_cell_length_a 6.7172
_cell_length_b 6.7172
_cell_length_c 3.5200
_cell_angle_alpha 90.00
_cell_angle_beta 90.00
_cell_angle_gamma 120.00
loop_
_atom_site_label
_atom_site_type_symbol
_atom_site_fract_x
_atom_site_fract_y
_atom_site_fract_z
_atom_site_occupancy
Sm1 Sm 0.3333 0.6667 0.2500 1
O1 O 0.0578 0.6282 0.7500 1
```

Largest 6 diffraction maxima, sorted by position, 10 to 80 degrees two-theta:
| two_theta | I_rel | hkl |
| --- | --- | --- |
| 15.23 | 100.0 | 1 0 0 |
| 26.54 | 60.3 | 1 1 0 |
| 29.66 | 74.5 | 1 0 1 |
| 40.22 | 43.7 | 2 0 1 |
| 46.85 | 20.4 | 3 0 0 |
| 48.84 | 55.8 | 1 2 1 |